[1]
The following is a computed powder diffraction line list of Ca2Al2Si3O12. It was derived from the GGA-PBE geometry in the Materials Project, using CuKα.

Atomic structure:
a b c (Å): 18.732 5.544 4.674
angles (deg): 90.00 90.00 90.00
Space group Pma2 (No. 28)
Symmetry-distinct sites (fractional):
Ca 0.149 0.241 0.000 x4
Al 0.000 0.000 0.193 x2
Al 0.250 0.739 0.004 x2
Si 0.000 0.500 0.810 x2
Si 0.131 0.751 0.498 x4
O 0.020 0.261 0.994 x4
O 0.074 0.542 0.627 x4
O 0.083 0.973 0.364 x4
O 0.176 0.610 0.251 x4
O 0.176 0.868 0.760 x4
O 0.250 0.049 0.176 x2
O 0.250 0.434 0.823 x2

The 10 most intense peaks (15 to 90 degrees two-theta), in order of rising 2θ:
| d_spacing | I/Imax |
| --- | --- |
| 4.674 | 38 |
| 3.574 | 39 |
| 3.510 | 100 |
| 3.339 | 61 |
| 3.308 | 44 |
| 3.101 | 90 |
| 2.841 | 34 |
| 2.586 | 72 |
| 2.385 | 45 |
| 1.787 | 52 |


[2]
The following is a computed powder diffraction line list of CaAl2Si4O14. It was derived from the GGA-PBE geometry in the Materials Project, using CuKα.

Atomic structure:
a b c (Å): 15.039 13.300 7.563
angles (deg): 90.00 111.05 90.00
Space group C2 (No. 5)
Symmetry-distinct sites (fractional):
Ca 0.247 0.000 0.263 x4
Al 0.128 0.691 0.738 x4
Al 0.129 0.306 0.733 x4
Si 0.082 0.382 0.323 x4
Si 0.083 0.617 0.324 x4
Si 0.240 0.381 0.154 x4
Si 0.241 0.615 0.159 x4
O 0.011 0.686 0.726 x4
O 0.012 0.316 0.720 x4
O 0.054 0.500 0.264 x4
O 0.119 0.120 0.250 x4
O 0.127 0.898 0.346 x4
O 0.146 0.619 0.553 x4
O 0.147 0.342 0.202 x4
O 0.149 0.378 0.550 x4
O 0.150 0.657 0.210 x4
O 0.166 0.183 0.735 x4
O 0.167 0.814 0.742 x4
O 0.210 0.618 0.927 x4
O 0.211 0.378 0.923 x4
O 0.236 0.998 0.770 x4

The 10 most intense peaks (15 to 90 degrees two-theta), in order of rising 2θ:
| d_spacing | I/Imax |
| --- | --- |
| 4.827 | 23 |
| 4.541 | 27 |
| 4.269 | 19 |
| 4.228 | 44 |
| 3.719 | 50 |
| 3.529 | 100 |
| 3.368 | 28 |
| 3.325 | 32 |
| 3.103 | 21 |
| 2.623 | 25 |


Copy entry 1 word for word.
The following is a computed powder diffraction line list of Ca2Al2Si3O12. It was derived from the GGA-PBE geometry in the Materials Project, using CuKα.

Atomic structure:
a b c (Å): 18.732 5.544 4.674
angles (deg): 90.00 90.00 90.00
Space group Pma2 (No. 28)
Symmetry-distinct sites (fractional):
Ca 0.149 0.241 0.000 x4
Al 0.000 0.000 0.193 x2
Al 0.250 0.739 0.004 x2
Si 0.000 0.500 0.810 x2
Si 0.131 0.751 0.498 x4
O 0.020 0.261 0.994 x4
O 0.074 0.542 0.627 x4
O 0.083 0.973 0.364 x4
O 0.176 0.610 0.251 x4
O 0.176 0.868 0.760 x4
O 0.250 0.049 0.176 x2
O 0.250 0.434 0.823 x2

The 10 most intense peaks (15 to 90 degrees two-theta), in order of rising 2θ:
| d_spacing | I/Imax |
| --- | --- |
| 4.674 | 38 |
| 3.574 | 39 |
| 3.510 | 100 |
| 3.339 | 61 |
| 3.308 | 44 |
| 3.101 | 90 |
| 2.841 | 34 |
| 2.586 | 72 |
| 2.385 | 45 |
| 1.787 | 52 |


Which formula does entry 1 have? Ca2Al2Si3O12


Copy entry 2 word for word.
The following is a computed powder diffraction line list of CaAl2Si4O14. It was derived from the GGA-PBE geometry in the Materials Project, using CuKα.

Atomic structure:
a b c (Å): 15.039 13.300 7.563
angles (deg): 90.00 111.05 90.00
Space group C2 (No. 5)
Symmetry-distinct sites (fractional):
Ca 0.247 0.000 0.263 x4
Al 0.128 0.691 0.738 x4
Al 0.129 0.306 0.733 x4
Si 0.082 0.382 0.323 x4
Si 0.083 0.617 0.324 x4
Si 0.240 0.381 0.154 x4
Si 0.241 0.615 0.159 x4
O 0.011 0.686 0.726 x4
O 0.012 0.316 0.720 x4
O 0.054 0.500 0.264 x4
O 0.119 0.120 0.250 x4
O 0.127 0.898 0.346 x4
O 0.146 0.619 0.553 x4
O 0.147 0.342 0.202 x4
O 0.149 0.378 0.550 x4
O 0.150 0.657 0.210 x4
O 0.166 0.183 0.735 x4
O 0.167 0.814 0.742 x4
O 0.210 0.618 0.927 x4
O 0.211 0.378 0.923 x4
O 0.236 0.998 0.770 x4

The 10 most intense peaks (15 to 90 degrees two-theta), in order of rising 2θ:
| d_spacing | I/Imax |
| --- | --- |
| 4.827 | 23 |
| 4.541 | 27 |
| 4.269 | 19 |
| 4.228 | 44 |
| 3.719 | 50 |
| 3.529 | 100 |
| 3.368 | 28 |
| 3.325 | 32 |
| 3.103 | 21 |
| 2.623 | 25 |